Computed XRD peak list of LaMg2Mn3S8 for Cu Kα, 1.54184 Å, from a crystal structure in Alexandria, relaxed with GGA-PBE.

Top 10 peaks for 2θ from 10° to 90°, by intensity:
d [Å], two_theta, I_rel
2.655, 33.8, 100.0
6.072, 14.6, 82.0
3.194, 27.9, 81.6
1.850, 49.2, 49.2
1.906, 47.7, 41.4
3.264, 27.3, 26.2
2.024, 44.8, 22.3
2.042, 44.4, 18.7
1.518, 61.0, 18.0
3.701, 24.0, 17.3

Cell and atoms:
```
data_LaMg2Mn3S8
_cell_length_a 7.6295
_cell_length_b 7.6295
_cell_length_c 7.6295
_cell_angle_alpha 58.03
_cell_angle_beta 58.03
_cell_angle_gamma 58.03
_space_group_name_H-M_alt 'P 1'
_space_group_IT_number 1
_space_group_name_Hall 'P 1'
loop_
_atom_site_label
_atom_site_type_symbol
_atom_site_fract_x
_atom_site_fract_y
_atom_site_fract_z
La1 La 0.0000 0.0000 0.0000
Mg1 Mg 0.3784 0.3784 0.3784
Mg2 Mg 0.6216 0.6216 0.6216
Mn1 Mn 0.0000 0.0000 0.5000
Mn2 Mn 0.0000 0.5000 0.0000
Mn3 Mn 0.5000 0.0000 0.0000
S1 S 0.2164 0.7385 0.7385
S2 S 0.2466 0.2466 0.2466
S3 S 0.2615 0.2615 0.7836
S4 S 0.2615 0.7836 0.2615
S5 S 0.7385 0.2164 0.7385
S6 S 0.7385 0.7385 0.2164
S7 S 0.7534 0.7534 0.7534
S8 S 0.7836 0.2615 0.2615
```

***

Computed XRD peak list of LaMg2Mo for Cu Kα, 1.54184 Å, from a crystal structure in Alexandria, relaxed with GGA-PBE.

Top 10 peaks for 2θ from 10° to 90°, by intensity:
d [Å], two_theta, I_rel
2.623, 34.2, 100.0
7.994, 11.1, 91.7
2.459, 36.5, 48.4
3.188, 28.0, 47.5
1.449, 64.3, 30.9
2.115, 42.8, 22.4
2.350, 38.3, 18.9
1.738, 52.6, 16.6
1.551, 59.6, 13.1
1.807, 50.5, 12.8

Cell and atoms:
```
data_LaMg2Mo
_cell_length_a 3.4769
_cell_length_b 3.4769
_cell_length_c 7.9944
_cell_angle_alpha 90.00
_cell_angle_beta 90.00
_cell_angle_gamma 90.00
_space_group_name_H-M_alt 'P 1'
_space_group_IT_number 1
_space_group_name_Hall 'P 1'
loop_
_atom_site_label
_atom_site_type_symbol
_atom_site_fract_x
_atom_site_fract_y
_atom_site_fract_z
La1 La 0.0000 0.0000 0.0000
Mg1 Mg 0.0000 0.0000 0.5730
Mg2 Mg 0.5000 0.5000 0.3427
Mo1 Mo 0.5000 0.5000 0.7551
```

***

Computed XRD peak list of LaMg2Mo3S8 for Cu Kα, 1.54184 Å, from a crystal structure in Alexandria, relaxed with GGA-PBE.

Top 10 peaks for 2θ from 10° to 90°, by intensity:
d [Å], two_theta, I_rel
6.207, 14.3, 100.0
2.688, 33.3, 93.3
3.244, 27.5, 85.5
1.896, 48.0, 44.3
1.905, 47.7, 38.3
2.071, 43.7, 28.9
2.066, 43.8, 16.4
1.549, 59.7, 15.8
1.200, 80.0, 13.8
1.097, 89.3, 13.0

Cell and atoms:
```
data_LaMg2Mo3S8
_cell_length_a 7.6205
_cell_length_b 7.6205
_cell_length_c 7.6205
_cell_angle_alpha 59.69
_cell_angle_beta 59.69
_cell_angle_gamma 59.69
_space_group_name_H-M_alt 'P 1'
_space_group_IT_number 1
_space_group_name_Hall 'P 1'
loop_
_atom_site_label
_atom_site_type_symbol
_atom_site_fract_x
_atom_site_fract_y
_atom_site_fract_z
La1 La 0.0000 0.0000 0.0000
Mg1 Mg 0.3772 0.3772 0.3772
Mg2 Mg 0.6228 0.6228 0.6228
Mo1 Mo 0.0000 0.0000 0.5000
Mo2 Mo 0.0000 0.5000 0.0000
Mo3 Mo 0.5000 0.0000 0.0000
S1 S 0.2273 0.7395 0.7395
S2 S 0.2392 0.2392 0.2392
S3 S 0.2605 0.2605 0.7727
S4 S 0.2605 0.7727 0.2605
S5 S 0.7395 0.2273 0.7395
S6 S 0.7395 0.7395 0.2273
S7 S 0.7608 0.7608 0.7608
S8 S 0.7727 0.2605 0.2605
```

***

Computed XRD peak list of La3MgN for Cu Kα, 1.54184 Å, from a crystal structure in Alexandria, relaxed with GGA-PBE.

Top 10 peaks for 2θ from 10° to 90°, by intensity:
d [Å], two_theta, I_rel
3.015, 29.6, 100.0
2.558, 35.1, 63.3
8.370, 10.6, 55.0
1.756, 52.1, 22.9
2.790, 32.1, 22.3
1.866, 48.8, 21.8
1.551, 59.6, 21.4
3.232, 27.6, 14.5
4.185, 21.2, 13.7
1.587, 58.1, 13.1

Cell and atoms:
```
data_La3MgN
_cell_length_a 9.1646
_cell_length_b 9.1646
_cell_length_c 9.1646
_cell_angle_alpha 41.30
_cell_angle_beta 41.30
_cell_angle_gamma 41.30
_space_group_name_H-M_alt 'P 1'
_space_group_IT_number 1
_space_group_name_Hall 'P 1'
loop_
_atom_site_label
_atom_site_type_symbol
_atom_site_fract_x
_atom_site_fract_y
_atom_site_fract_z
La1 La 0.0852 0.4446 0.7972
La2 La 0.2028 0.9148 0.5554
La3 La 0.4446 0.7972 0.0852
La4 La 0.5554 0.2028 0.9148
La5 La 0.7972 0.0852 0.4446
La6 La 0.9148 0.5554 0.2028
Mg1 Mg 0.3358 0.3358 0.3358
Mg2 Mg 0.6642 0.6642 0.6642
N1 N 0.1648 0.1648 0.1648
N2 N 0.8352 0.8352 0.8352
```

***

Computed XRD peak list of La3MgN for Cu Kα, 1.54184 Å, from a crystal structure in Alexandria, relaxed with GGA-PBE.

Top 10 peaks for 2θ from 10° to 90°, by intensity:
d [Å], two_theta, I_rel
2.989, 29.9, 100.0
2.960, 30.2, 86.9
2.694, 33.3, 44.1
8.689, 10.2, 41.6
2.735, 32.8, 38.4
1.772, 51.6, 31.1
2.353, 38.3, 27.0
1.919, 47.4, 27.0
3.184, 28.0, 23.2
4.833, 18.4, 16.1

Cell and atoms:
```
data_La3MgN
_cell_length_a 6.5080
_cell_length_b 6.5080
_cell_length_c 9.4126
_cell_angle_alpha 110.49
_cell_angle_beta 110.49
_cell_angle_gamma 48.90
_space_group_name_H-M_alt 'P 1'
_space_group_IT_number 1
_space_group_name_Hall 'P 1'
loop_
_atom_site_label
_atom_site_type_symbol
_atom_site_fract_x
_atom_site_fract_y
_atom_site_fract_z
La1 La 0.1089 0.1089 0.1865
La2 La 0.1429 0.1429 0.6831
La3 La 0.3623 0.3623 0.0689
La4 La 0.6377 0.6377 0.9311
La5 La 0.8571 0.8571 0.3169
La6 La 0.8911 0.8911 0.8135
Mg1 Mg 0.3930 0.3930 0.5594
Mg2 Mg 0.6070 0.6070 0.4406
N1 N 0.1231 0.1231 0.9277
N2 N 0.8769 0.8769 0.0723
```

***

Computed XRD peak list of La6Mg2NO for Cu Kα, 1.54184 Å, from a crystal structure in Alexandria, relaxed with GGA-PBE.

Top 10 peaks for 2θ from 10° to 90°, by intensity:
d [Å], two_theta, I_rel
2.970, 30.1, 100.0
2.572, 34.9, 58.3
1.551, 59.6, 43.2
1.819, 50.2, 40.9
5.144, 17.2, 26.7
1.150, 84.2, 17.9
1.180, 81.6, 17.6
1.485, 62.6, 13.9
2.300, 39.2, 13.1
3.637, 24.5, 12.6

Cell and atoms:
```
data_La6Mg2NO
_cell_length_a 7.2741
_cell_length_b 7.2741
_cell_length_c 7.2741
_cell_angle_alpha 60.00
_cell_angle_beta 60.00
_cell_angle_gamma 60.00
_space_group_name_H-M_alt 'P 1'
_space_group_IT_number 1
_space_group_name_Hall 'P 1'
loop_
_atom_site_label
_atom_site_type_symbol
_atom_site_fract_x
_atom_site_fract_y
_atom_site_fract_z
La1 La 0.2476 0.2476 0.7524
La2 La 0.2476 0.7524 0.2476
La3 La 0.2476 0.7524 0.7524
La4 La 0.7524 0.2476 0.2476
La5 La 0.7524 0.2476 0.7524
La6 La 0.7524 0.7524 0.2476
Mg1 Mg 0.2500 0.2500 0.2500
Mg2 Mg 0.7500 0.7500 0.7500
N1 N 0.0000 0.0000 0.0000
O1 O 0.5000 0.5000 0.5000
```

***

Computed XRD peak list of La3Mg2UN6 for Cu Kα, 1.54184 Å, from a crystal structure in Alexandria, relaxed with GGA-PBE.

Top 10 peaks for 2θ from 10° to 90°, by intensity:
d [Å], two_theta, I_rel
2.536, 35.4, 100.0
2.855, 31.3, 90.2
2.936, 30.4, 44.8
2.845, 31.4, 41.2
2.399, 37.5, 40.1
5.019, 17.7, 36.5
1.763, 51.9, 32.8
4.375, 20.3, 31.3
1.723, 53.2, 27.8
3.946, 22.5, 22.1

Cell and atoms:
```
data_La3Mg2UN6
_cell_length_a 6.0957
_cell_length_b 6.0957
_cell_length_c 6.1068
_cell_angle_alpha 97.67
_cell_angle_beta 97.67
_cell_angle_gamma 121.93
_space_group_name_H-M_alt 'P 1'
_space_group_IT_number 1
_space_group_name_Hall 'P 1'
loop_
_atom_site_label
_atom_site_type_symbol
_atom_site_fract_x
_atom_site_fract_y
_atom_site_fract_z
La1 La 0.0000 0.0000 0.0000
La2 La 0.3257 0.6743 0.0000
La3 La 0.6743 0.3257 0.0000
Mg1 Mg 0.1805 0.8195 0.5000
Mg2 Mg 0.8195 0.1805 0.5000
U1 U 0.5000 0.5000 0.5000
N1 N 0.1120 0.4153 0.2869
N2 N 0.2972 0.2972 0.7470
N3 N 0.4153 0.1120 0.2869
N4 N 0.5847 0.8880 0.7131
N5 N 0.7028 0.7028 0.2530
N6 N 0.8880 0.5847 0.7131
```

***

Computed XRD peak list of La2MgVN for Cu Kα, 1.54184 Å, from a crystal structure in Alexandria, relaxed with GGA-PBE.

Top 10 peaks for 2θ from 10° to 90°, by intensity:
d [Å], two_theta, I_rel
2.730, 32.8, 100.0
2.696, 33.2, 56.6
1.563, 59.1, 36.5
3.813, 23.3, 34.3
3.911, 22.7, 25.0
2.220, 40.6, 21.9
1.583, 58.3, 21.5
1.906, 47.7, 20.0
1.365, 68.8, 12.9
1.956, 46.4, 10.8

Cell and atoms:
```
data_La2MgVN
_cell_length_a 5.3919
_cell_length_b 5.3919
_cell_length_c 3.9114
_cell_angle_alpha 90.00
_cell_angle_beta 90.00
_cell_angle_gamma 90.00
_space_group_name_H-M_alt 'P 1'
_space_group_IT_number 1
_space_group_name_Hall 'P 1'
loop_
_atom_site_label
_atom_site_type_symbol
_atom_site_fract_x
_atom_site_fract_y
_atom_site_fract_z
La1 La 0.0000 0.5000 0.0000
La2 La 0.5000 0.0000 0.0000
Mg1 Mg 0.0000 0.0000 0.5000
V1 V 0.5000 0.5000 0.5000
N1 N 0.5000 0.5000 0.0000
```

***

Computed XRD peak list of NaLaMg6O8 for Cu Kα, 1.54184 Å, from a crystal structure in Alexandria, relaxed with GGA-PBE.

Top 10 peaks for 2θ from 10° to 90°, by intensity:
d [Å], two_theta, I_rel
2.252, 40.0, 100.0
4.510, 19.7, 60.4
4.032, 22.0, 60.0
1.595, 57.8, 54.2
2.603, 34.4, 50.5
3.189, 28.0, 49.4
3.007, 29.7, 47.7
2.260, 39.9, 45.1
1.593, 57.9, 30.1
1.302, 72.6, 25.1

Cell and atoms:
```
data_NaLaMg6O8
_cell_length_a 4.5044
_cell_length_b 4.5044
_cell_length_c 9.0386
_cell_angle_alpha 90.00
_cell_angle_beta 90.00
_cell_angle_gamma 90.00
_space_group_name_H-M_alt 'P 1'
_space_group_IT_number 1
_space_group_name_Hall 'P 1'
loop_
_atom_site_label
_atom_site_type_symbol
_atom_site_fract_x
_atom_site_fract_y
_atom_site_fract_z
Na1 Na 0.0000 0.0000 0.0000
La1 La 0.5000 0.5000 0.0000
Mg1 Mg 0.0000 0.0000 0.5000
Mg2 Mg 0.0000 0.5000 0.2713
Mg3 Mg 0.0000 0.5000 0.7287
Mg4 Mg 0.5000 0.0000 0.2713
Mg5 Mg 0.5000 0.0000 0.7287
Mg6 Mg 0.5000 0.5000 0.5000
O1 O 0.0000 0.0000 0.2723
O2 O 0.0000 0.0000 0.7277
O3 O 0.0000 0.5000 0.0000
O4 O 0.0000 0.5000 0.5000
O5 O 0.5000 0.0000 0.0000
O6 O 0.5000 0.0000 0.5000
O7 O 0.5000 0.5000 0.2733
O8 O 0.5000 0.5000 0.7267
```

***

Computed XRD peak list of NaLaMgTeO6 for Cu Kα, 1.54184 Å, from a crystal structure in Alexandria, relaxed with GGA-PBE.

Top 10 peaks for 2θ from 10° to 90°, by intensity:
d [Å], two_theta, I_rel
4.573, 19.4, 100.0
2.797, 32.0, 72.5
2.803, 31.9, 69.5
1.982, 45.8, 33.4
2.385, 37.7, 28.4
1.617, 56.9, 26.3
1.614, 57.1, 26.0
2.391, 37.6, 25.9
1.975, 45.9, 14.9
1.400, 66.8, 13.6

Cell and atoms:
```
data_NaLaMgTeO6
_cell_length_a 5.5912
_cell_length_b 5.5912
_cell_length_c 5.6169
_cell_angle_alpha 120.02
_cell_angle_beta 120.02
_cell_angle_gamma 60.07
_space_group_name_H-M_alt 'P 1'
_space_group_IT_number 1
_space_group_name_Hall 'P 1'
loop_
_atom_site_label
_atom_site_type_symbol
_atom_site_fract_x
_atom_site_fract_y
_atom_site_fract_z
Na1 Na 0.0000 0.0000 0.0000
La1 La 0.4988 0.4988 0.4789
Mg1 Mg 0.2473 0.2473 0.7366
Te1 Te 0.7492 0.7492 0.2401
O1 O 0.0379 0.5459 0.0459
O2 O 0.4618 0.9427 0.4349
O3 O 0.5093 0.5093 0.9148
O4 O 0.5459 0.0379 0.0459
O5 O 0.9427 0.4618 0.4349
O6 O 0.9874 0.9874 0.5592
```

***

Computed XRD peak list of NaLaMgTeO6 for Cu Kα, 1.54184 Å, from a crystal structure in Alexandria, relaxed with GGA-PBE.

Top 10 peaks for 2θ from 10° to 90°, by intensity:
d [Å], two_theta, I_rel
2.801, 31.9, 100.0
2.812, 31.8, 98.5
1.985, 45.7, 69.1
7.948, 11.1, 63.7
1.619, 56.9, 50.4
3.549, 25.1, 45.1
4.591, 19.3, 33.8
4.576, 19.4, 30.7
2.392, 37.6, 23.2
1.626, 56.6, 22.2

Cell and atoms:
```
data_NaLaMgTeO6
_cell_length_a 5.6237
_cell_length_b 5.5963
_cell_length_c 7.9478
_cell_angle_alpha 90.00
_cell_angle_beta 90.26
_cell_angle_gamma 90.00
_space_group_name_H-M_alt 'P 1'
_space_group_IT_number 1
_space_group_name_Hall 'P 1'
loop_
_atom_site_label
_atom_site_type_symbol
_atom_site_fract_x
_atom_site_fract_y
_atom_site_fract_z
Na1 Na 0.2345 0.2500 0.4995
Na2 Na 0.7655 0.7500 0.5005
La1 La 0.2454 0.2500 0.0017
La2 La 0.7546 0.7500 0.9983
Mg1 Mg 0.2524 0.7500 0.7313
Mg2 Mg 0.7476 0.2500 0.2687
Te1 Te 0.2555 0.7500 0.2560
Te2 Te 0.7445 0.2500 0.7440
O1 O 0.0164 0.5039 0.2677
O2 O 0.0164 0.9961 0.2677
O3 O 0.1876 0.7500 0.0066
O4 O 0.3352 0.7500 0.4862
O5 O 0.4958 0.5087 0.1970
O6 O 0.4958 0.9913 0.1970
O7 O 0.5042 0.0087 0.8030
O8 O 0.5042 0.4913 0.8030
O9 O 0.6648 0.2500 0.5138
O10 O 0.8124 0.2500 0.9934
O11 O 0.9836 0.0039 0.7323
O12 O 0.9836 0.4961 0.7323
```